Starting from a PBE-relaxed structure, the powder diffractogram of La2Ho7 was calculated for Cu Kα (weighted mean of Kα1 and Kα2).
Intensities are scaled so that the largest is 100.

Cell and atoms:
abc: 6.2003 6.2003 8.7382
angles: 90.00 90.00 120.00
Positions (direct):
La (0.3333, 0.6667, 0.0000)
La (0.6667, 0.3333, 0.0000)
Ho (0.0000, 0.0000, 0.0000)
Ho (0.0000, 0.3318, 0.6618)
Ho (0.0000, 0.6682, 0.3382)
Ho (0.3318, 0.0000, 0.6618)
Ho (0.3318, 0.3318, 0.3382)
Ho (0.6682, 0.0000, 0.3382)
Ho (0.6682, 0.6682, 0.6618)

Principal peaks in the range 10° ≤ 2θ ≤ 90°, in order of rising 2θ:
2θ = 30.6°, I 100
2θ = 35.5°, I 51
2θ = 51.0°, I 18
2θ = 51.2°, I 18
2θ = 60.7°, I 32
2θ = 60.8°, I 11



Starting from a PBE-relaxed structure, the powder diffractogram of Zr6Bi2H was calculated for Cu Kα (weighted mean of Kα1 and Kα2).
Intensities are scaled so that the largest is 100.

Cell and atoms:
abc: 6.4917 6.4917 6.4917
angles: 122.30 122.30 86.06
Positions (direct):
Zr (0.2488, 0.2488, 0.0000)
Zr (0.2527, 0.2527, 0.5054)
Zr (0.2527, 0.7473, 0.0000)
Zr (0.7473, 0.2527, 0.0000)
Zr (0.7473, 0.7473, 0.4946)
Zr (0.7512, 0.7512, 0.0000)
Bi (0.2500, 0.7500, 0.5000)
Bi (0.7500, 0.2500, 0.5000)
H (0.0000, 0.0000, 0.0000)

Principal peaks in the range 10° ≤ 2θ ≤ 90°, in order of rising 2θ:
2θ = 34.3°, I 100
2θ = 37.9°, I 19
2θ = 40.7°, I 31
2θ = 56.9°, I 23
2θ = 66.2°, I 15
2θ = 70.0°, I 25



Starting from a PBE-relaxed structure, the powder diffractogram of Er4Tm10Zr was calculated for Cu Kα (weighted mean of Kα1 and Kα2).
Intensities are scaled so that the largest is 100.

Cell and atoms:
abc: 8.6764 8.6764 8.6764
angles: 101.08 101.08 127.99
Positions (direct):
Er (0.2288, 0.2288, 0.4577)
Er (0.2288, 0.7712, 0.0000)
Er (0.7712, 0.2288, 0.0000)
Er (0.7712, 0.7712, 0.5423)
Tm (0.0804, 0.2881, 0.7923)
Tm (0.2500, 0.7500, 0.5000)
Tm (0.2881, 0.0804, 0.7923)
Tm (0.2881, 0.4958, 0.2077)
Tm (0.4958, 0.2881, 0.2077)
Tm (0.5042, 0.7119, 0.7923)
Tm (0.7119, 0.5042, 0.7923)
Tm (0.7119, 0.9196, 0.2077)
Tm (0.7500, 0.2500, 0.5000)
Tm (0.9196, 0.7119, 0.2077)
Zr (0.0000, 0.0000, 0.0000)

Principal peaks in the range 10° ≤ 2θ ≤ 90°, in order of rising 2θ:
2θ = 28.5°, I 65
2θ = 31.5°, I 38
2θ = 32.5°, I 100
2θ = 32.9°, I 95
2θ = 34.9°, I 37
2θ = 42.1°, I 47



Starting from a PBE-relaxed structure, the powder diffractogram of SrCuHF6 was calculated for Cu Kα (weighted mean of Kα1 and Kα2).
Intensities are scaled so that the largest is 100.

Cell and atoms:
abc: 4.3717 5.0042 5.8327
angles: 95.98 111.29 90.04
Positions (direct):
Sr (0.0000, 0.0000, 0.0000)
Cu (0.0000, 0.5000, 0.5000)
H (0.5000, 0.5000, 0.0000)
F (0.1220, 0.6233, 0.2685)
F (0.1845, 0.1928, 0.4528)
F (0.4639, 0.7156, 0.9418)
F (0.5361, 0.2844, 0.0582)
F (0.8155, 0.8072, 0.5472)
F (0.8780, 0.3767, 0.7315)

Principal peaks in the range 10° ≤ 2θ ≤ 90°, in order of rising 2θ:
2θ = 21.8°, I 100
2θ = 22.9°, I 61
2θ = 25.7°, I 50
2θ = 27.9°, I 52
2θ = 38.3°, I 53
2θ = 41.8°, I 46



Copy entry 2 word for word.
Starting from a PBE-relaxed structure, the powder diffractogram of Zr6Bi2H was calculated for Cu Kα (weighted mean of Kα1 and Kα2).
Intensities are scaled so that the largest is 100.

Cell and atoms:
abc: 6.4917 6.4917 6.4917
angles: 122.30 122.30 86.06
Positions (direct):
Zr (0.2488, 0.2488, 0.0000)
Zr (0.2527, 0.2527, 0.5054)
Zr (0.2527, 0.7473, 0.0000)
Zr (0.7473, 0.2527, 0.0000)
Zr (0.7473, 0.7473, 0.4946)
Zr (0.7512, 0.7512, 0.0000)
Bi (0.2500, 0.7500, 0.5000)
Bi (0.7500, 0.2500, 0.5000)
H (0.0000, 0.0000, 0.0000)

Principal peaks in the range 10° ≤ 2θ ≤ 90°, in order of rising 2θ:
2θ = 34.3°, I 100
2θ = 37.9°, I 19
2θ = 40.7°, I 31
2θ = 56.9°, I 23
2θ = 66.2°, I 15
2θ = 70.0°, I 25



Number 1 is which compound? La2Ho7